Entry 1:
Calculated powder diffraction line list
Compound: Ta5S8
Radiation: a wavelength of 1.5418 Å
Structure: a PBE-relaxed structure
Lines closer than 0.1° are merged.

Principal peaks in the range 10 to 90 degrees two-theta, by intensity:
2θ (°), d [Å], intensity
13.83, 6.405, 1000
31.42, 2.848, 579
42.25, 2.139, 519
42.72, 2.117, 444
34.30, 2.614, 338
30.88, 2.896, 289
55.26, 1.662, 262
27.86, 3.203, 255

Crystal structure
Cell lengths 13.1764, 13.1764, 5.7929 Å; angles 101.45, 101.45, 14.26 degrees
Element x y z (fractional)
Ta (0.0000, 0.0000, 0.0000)
Ta (0.1272, 0.1272, 0.1238)
Ta (0.3740, 0.3740, 0.3674)
Ta (0.6260, 0.6260, 0.6326)
Ta (0.8728, 0.8728, 0.8762)
S (0.0629, 0.0629, 0.7374)
S (0.1878, 0.1878, 0.8507)
S (0.3131, 0.3131, 0.6482)
S (0.4374, 0.4374, 0.7587)
S (0.5626, 0.5626, 0.2413)
S (0.6869, 0.6869, 0.3518)
S (0.8122, 0.8122, 0.1493)
S (0.9371, 0.9371, 0.2626)

=====

Entry 2:
Calculated powder diffraction line list
Compound: TaS2
Radiation: a wavelength of 1.5418 Å
Structure: a PBE-relaxed structure
Lines closer than 0.1° are merged.

Principal peaks in the range 10 to 90 degrees two-theta, by intensity:
2θ (°), d [Å], intensity
12.98, 6.821, 1000
35.63, 2.520, 275
38.07, 2.364, 270
31.19, 2.867, 266
32.12, 2.786, 264
44.01, 2.057, 197
54.93, 1.672, 195
47.42, 1.917, 145

Crystal structure
Cell lengths 7.0893, 7.0893, 7.0893 Å; angles 27.28, 27.28, 27.28 degrees
Element x y z (fractional)
Ta (0.0000, 0.0000, 0.0000)
S (0.5903, 0.5903, 0.5903)
S (0.7430, 0.7430, 0.7430)

=====

Entry 3:
Calculated powder diffraction line list
Compound: TaS2
Radiation: a wavelength of 1.5418 Å
Structure: a PBE-relaxed structure
Lines closer than 0.1° are merged.

Principal peaks in the range 10 to 90 degrees two-theta, by intensity:
2θ (°), d [Å], intensity
12.73, 6.953, 1000
33.22, 2.697, 553
40.29, 2.238, 437
30.56, 2.926, 218
50.22, 1.817, 212
56.03, 1.641, 138
54.31, 1.689, 121
69.75, 1.348, 86

Crystal structure
Cell lengths 3.3783, 3.3783, 6.9529 Å; angles 90.00, 90.00, 120.00 degrees
Element x y z (fractional)
Ta (0.0000, 0.0000, 0.0000)
S (0.3333, 0.6667, 0.7793)
S (0.6667, 0.3333, 0.2207)

=====

Entry 4:
Calculated powder diffraction line list
Compound: TaS2
Radiation: a wavelength of 1.5418 Å
Structure: a PBE-relaxed structure
Lines closer than 0.1° are merged.

Principal peaks in the range 10 to 90 degrees two-theta, by intensity:
2θ (°), d [Å], intensity
12.87, 6.880, 1000
33.59, 2.668, 520
40.74, 2.215, 447
30.89, 2.894, 224
50.79, 1.798, 199
56.69, 1.624, 138
54.95, 1.671, 123
70.61, 1.334, 88

Crystal structure
Cell lengths 3.3421, 3.3421, 13.7602 Å; angles 90.00, 90.00, 120.00 degrees
Element x y z (fractional)
Ta (0.0000, 0.0000, 0.2500)
Ta (0.0000, 0.0000, 0.7500)
S (0.3333, 0.6667, 0.1364)
S (0.3333, 0.6667, 0.3636)
S (0.6667, 0.3333, 0.6364)
S (0.6667, 0.3333, 0.8636)

=====

Repeat the fourth record exactly.
Calculated powder diffraction line list
Compound: TaS2
Radiation: a wavelength of 1.5418 Å
Structure: a PBE-relaxed structure
Lines closer than 0.1° are merged.

Principal peaks in the range 10 to 90 degrees two-theta, by intensity:
2θ (°), d [Å], intensity
12.87, 6.880, 1000
33.59, 2.668, 520
40.74, 2.215, 447
30.89, 2.894, 224
50.79, 1.798, 199
56.69, 1.624, 138
54.95, 1.671, 123
70.61, 1.334, 88

Crystal structure
Cell lengths 3.3421, 3.3421, 13.7602 Å; angles 90.00, 90.00, 120.00 degrees
Element x y z (fractional)
Ta (0.0000, 0.0000, 0.2500)
Ta (0.0000, 0.0000, 0.7500)
S (0.3333, 0.6667, 0.1364)
S (0.3333, 0.6667, 0.3636)
S (0.6667, 0.3333, 0.6364)
S (0.6667, 0.3333, 0.8636)

=====

What is the formula in the third record? TaS2